No. 1
Starting from the PBE geometry in the Materials Project, the X-ray diffraction stick pattern of LaIr2 was simulated for Cu Kα (weighted mean of Kα1 and Kα2).
Intensities are scaled so that the largest is 100.

The 6 most intense peaks (10 to 90 degrees two-theta), sorted by position:
| two_theta | d (Å) | Rel. int. | index |
| --- | --- | --- | --- |
| 19.86 | 4.471 | 18 | 1 1 1 |
| 38.56 | 2.335 | 100 | 3 1 1 |
| 40.34 | 2.236 | 52 | 2 2 2 |
| 62.30 | 1.490 | 33 | 5 1 1 |
| 68.54 | 1.369 | 30 | 4 4 0 |
| 82.65 | 1.167 | 20 | 6 2 2 |

Cell and atoms:
Cell: 7.7442 7.7442 7.7442 Å, 90.00 90.00 90.00°
Space group Fd-3m (No. 227, origin choice 2)
One atom of each set of equivalent atoms:
1 La 0.1250 0.1250 0.1250
2 Ir 0.0000 0.0000 0.5000

---

No. 2
Starting from the PBE geometry in the Materials Project, the X-ray diffraction stick pattern of La3Ir was simulated for Cu Kα (weighted mean of Kα1 and Kα2).
Intensities are scaled so that the largest is 100.

The 6 most intense peaks (10 to 90 degrees two-theta), sorted by position:
| two_theta | d (Å) | Rel. int. | index |
| --- | --- | --- | --- |
| 29.81 | 2.997 | 92 | 0 3 1 |
| 30.69 | 2.913 | 100 | 1 1 2 |
| 32.19 | 2.781 | 99 | 1 3 1 |
| 32.78 | 2.732 | 72 | 2 2 1 |
| 36.01 | 2.494 | 50 | 2 3 0 |
| 54.66 | 1.679 | 47 | 0 6 0 |

Cell and atoms:
```
data_La3Ir
_chemical_formula_sum 'La12 Ir4'
_cell_length_a 7.4517
_cell_length_b 10.0704
_cell_length_c 6.6667
_cell_angle_alpha 90.00
_cell_angle_beta 90.00
_cell_angle_gamma 90.00
_space_group_name_H-M_alt 'P n m a'
_space_group_IT_number 62
_space_group_name_Hall '-P 2ac 2n'
loop_
_atom_site_label
_atom_site_type_symbol
_atom_site_fract_x
_atom_site_fract_y
_atom_site_fract_z
La1 La 0.0381 0.2500 0.1411
La2 La 0.1740 0.0671 0.6703
Ir1 Ir 0.1191 0.7500 0.4365
```

---

No. 3
Starting from the PBE geometry in the Materials Project, the X-ray diffraction stick pattern of La2Ir7 was simulated for Cu Kα (weighted mean of Kα1 and Kα2).
Intensities are scaled so that the largest is 100.

The 6 most intense peaks (10 to 90 degrees two-theta), sorted by position:
| two_theta | d (Å) | Rel. int. | index |
| --- | --- | --- | --- |
| 38.67 | 2.329 | 27 | 2 0 1 |
| 39.08 | 2.305 | 100 | 1 1 6 |
| 40.76 | 2.214 | 29 | 0 0 12 |
| 42.24 | 2.140 | 31 | 2 0 5 |
| 63.26 | 1.470 | 24 | 3 0 6 |
| 69.67 | 1.350 | 26 | 2 2 0 |

Cell and atoms:
```
data_La2Ir7
_chemical_formula_sum 'La8 Ir28'
_cell_length_a 5.3986
_cell_length_b 5.3986
_cell_length_c 26.5634
_cell_angle_alpha 90.00
_cell_angle_beta 90.00
_cell_angle_gamma 120.00
_space_group_name_H-M_alt 'P 63/m m c'
_space_group_IT_number 194
_space_group_name_Hall '-P 6c 2c'
loop_
_atom_site_label
_atom_site_type_symbol
_atom_site_fract_x
_atom_site_fract_y
_atom_site_fract_z
La1 La 0.3333 0.6667 0.0289
La2 La 0.3333 0.6667 0.1745
Ir1 Ir 0.0000 0.0000 0.0000
Ir2 Ir 0.0000 0.0000 0.1682
Ir3 Ir 0.1657 0.3313 0.5871
Ir4 Ir 0.1678 0.3356 0.7500
Ir5 Ir 0.3333 0.6667 0.6666
```

---

No. 4
Starting from the PBE geometry in the Materials Project, the X-ray diffraction stick pattern of La5Ir2 was simulated for Cu Kα (weighted mean of Kα1 and Kα2).
Intensities are scaled so that the largest is 100.

The 6 most intense peaks (10 to 90 degrees two-theta), sorted by position:
| two_theta | d (Å) | Rel. int. | index |
| --- | --- | --- | --- |
| 18.92 | 4.691 | 90 | 1 1 1 |
| 29.45 | 3.033 | 73 | 5 1 0 |
| 30.42 | 2.938 | 100 | 2 2 -1 |
| 31.37 | 2.852 | 62 | 2 2 1 |
| 33.04 | 2.711 | 76 | 5 1 1 |
| 38.79 | 2.321 | 58 | 1 1 -3 |

Cell and atoms:
```
data_La5Ir2
_chemical_formula_sum 'La20 Ir8'
_cell_length_a 17.0675
_cell_length_b 6.7796
_cell_length_c 7.4159
_cell_angle_alpha 90.00
_cell_angle_beta 96.45
_cell_angle_gamma 90.00
_space_group_name_H-M_alt 'C 1 2/c 1'
_space_group_IT_number 15
_space_group_name_Hall '-C 2yc'
loop_
_atom_site_label
_atom_site_type_symbol
_atom_site_fract_x
_atom_site_fract_y
_atom_site_fract_z
La1 La 0.0000 0.0779 0.2500
La2 La 0.0932 0.3925 0.9116
La3 La 0.2154 0.0718 0.3167
Ir1 Ir 0.1116 0.2045 0.5800
```

---

No. 5
Starting from the PBE geometry in the Materials Project, the X-ray diffraction stick pattern of La2Ir7 was simulated for Cu Kα (weighted mean of Kα1 and Kα2).
Intensities are scaled so that the largest is 100.

The 6 most intense peaks (10 to 90 degrees two-theta), sorted by position:
| two_theta | d (Å) | Rel. int. | index |
| --- | --- | --- | --- |
| 19.01 | 4.669 | 31 | 1 0 1 |
| 38.35 | 2.347 | 26 | 0 2 1 |
| 39.00 | 2.309 | 100 | 1 1 9 |
| 41.10 | 2.196 | 29 | 0 0 18 |
| 42.59 | 2.123 | 35 | 2 0 8 |
| 69.22 | 1.357 | 27 | 2 2 0 |

Cell and atoms:
```
data_La2Ir7
_chemical_formula_sum 'La12 Ir42'
_cell_length_a 5.4294
_cell_length_b 5.4294
_cell_length_c 39.5287
_cell_angle_alpha 90.00
_cell_angle_beta 90.00
_cell_angle_gamma 120.00
_space_group_name_H-M_alt 'R -3 m'
_space_group_IT_number 166
_space_group_name_Hall '-R 3 2"'
loop_
_atom_site_label
_atom_site_type_symbol
_atom_site_fract_x
_atom_site_fract_y
_atom_site_fract_z
La1 La 0.0000 0.0000 0.0507
La2 La 0.0000 0.0000 0.1475
Ir1 Ir 0.0000 0.0000 0.2780
Ir2 Ir 0.0000 0.0000 0.3880
Ir3 Ir 0.0000 0.0000 0.5000
Ir4 Ir 0.0000 0.5000 0.0000
Ir5 Ir 0.0027 0.5014 0.1086
```

---

No. 6
Starting from the PBE geometry in the Materials Project, the X-ray diffraction stick pattern of La3Ir2 was simulated for Cu Kα (weighted mean of Kα1 and Kα2).
Intensities are scaled so that the largest is 100.

The 6 most intense peaks (10 to 90 degrees two-theta), sorted by position:
| two_theta | d (Å) | Rel. int. | index |
| --- | --- | --- | --- |
| 30.86 | 2.897 | 43 | 3 -1 1 |
| 31.19 | 2.867 | 45 | 0 0 6 |
| 32.19 | 2.781 | 100 | 3 -2 2 |
| 34.61 | 2.592 | 72 | 3 0 0 |
| 37.05 | 2.427 | 70 | 2 1 4 |
| 37.21 | 2.416 | 79 | 2 -1 6 |

Cell and atoms:
```
data_La3Ir2
_chemical_formula_sum 'La27 Ir18'
_cell_length_a 8.9790
_cell_length_b 8.9790
_cell_length_c 17.2031
_cell_angle_alpha 90.00
_cell_angle_beta 90.00
_cell_angle_gamma 120.00
_space_group_name_H-M_alt 'R -3'
_space_group_IT_number 148
_space_group_name_Hall '-R 3'
loop_
_atom_site_label
_atom_site_type_symbol
_atom_site_fract_x
_atom_site_fract_y
_atom_site_fract_z
La1 La 0.0000 0.0000 0.0000
La2 La 0.0000 0.0000 0.2015
La3 La 0.0162 0.7554 0.5924
Ir1 Ir 0.0185 0.4079 0.5700
```

---

No. 7
Starting from the PBE geometry in the Materials Project, the X-ray diffraction stick pattern of La4Ir was simulated for Cu Kα (weighted mean of Kα1 and Kα2).
Intensities are scaled so that the largest is 100.

The 6 most intense peaks (10 to 90 degrees two-theta), sorted by position:
| two_theta | d (Å) | Rel. int. | index |
| --- | --- | --- | --- |
| 21.90 | 4.058 | 34 | 2 2 0 |
| 26.91 | 3.313 | 100 | 2 2 2 |
| 34.05 | 2.633 | 29 | 3 3 1 |
| 40.85 | 2.209 | 24 | 5 1 1 |
| 44.66 | 2.029 | 65 | 4 4 0 |
| 52.91 | 1.730 | 39 | 6 2 2 |

Cell and atoms:
Cell: 11.4778 11.4778 11.4778 Å, 90.00 90.00 90.00°
Space group Fd-3m (No. 227, origin choice 2)
One atom of each set of equivalent atoms:
1 La 0.0111 0.0111 0.2390
2 Ir 0.1250 0.1250 0.6250

---

No. 8
Starting from the PBE geometry in the Materials Project, the X-ray diffraction stick pattern of LaIr5 was simulated for Cu Kα (weighted mean of Kα1 and Kα2).
Intensities are scaled so that the largest is 100.

The 6 most intense peaks (10 to 90 degrees two-theta), sorted by position:
| two_theta | d (Å) | Rel. int. | index |
| --- | --- | --- | --- |
| 19.01 | 4.669 | 36 | 1 0 0 |
| 38.57 | 2.334 | 28 | 2 0 0 |
| 39.37 | 2.288 | 100 | 1 1 1 |
| 41.71 | 2.165 | 34 | 0 0 2 |
| 44.07 | 2.055 | 57 | 2 0 1 |
| 84.72 | 1.144 | 27 | 2 2 2 |

Cell and atoms:
```
data_LaIr5
_chemical_formula_sum 'La1 Ir5'
_cell_length_a 5.3907
_cell_length_b 5.3907
_cell_length_c 4.3310
_cell_angle_alpha 90.00
_cell_angle_beta 90.00
_cell_angle_gamma 120.00
_space_group_name_H-M_alt 'P 6/m m m'
_space_group_IT_number 191
_space_group_name_Hall '-P 6 2'
loop_
_atom_site_label
_atom_site_type_symbol
_atom_site_fract_x
_atom_site_fract_y
_atom_site_fract_z
La1 La 0.0000 0.0000 0.0000
Ir1 Ir 0.0000 0.5000 0.5000
Ir2 Ir 0.3333 0.6667 0.0000
```